Entry 1:
Starting from a DFT-relaxed cell (PBE, the Materials Project), the powder XRD pattern of TmInAu was simulated for Cu Kα (λ = 1.5418 Å).
Lines closer than 0.1° are merged.

The 10 most intense peaks (10 to 90 degrees two-theta), sorted by position:
- (1 1 0), 23.02 deg, I 15
- (1 1 1), 32.48 deg, I 83
- (2 0 1), 35.21 deg, I 100
- (2 1 0), 35.50 deg, I 32
- (3 0 0), 40.44 deg, I 53
- (2 1 1), 42.49 deg, I 38
- (0 0 2), 46.15 deg, I 25
- (2 1 2), 59.54 deg, I 14
- (3 0 2), 63.01 deg, I 29
- (3 2 1), 65.24 deg, I 36

Crystal structure
```
TmInAu
1.0
7.7264 0.0000 0.0000
-3.8632 6.6913 0.0000
0.0000 0.0000 3.9342
Tm In Au
3 3 3
direct
0.0000 0.5947 0.0000 Tm
0.4053 0.4053 0.0000 Tm
0.5947 0.0000 0.0000 Tm
0.0000 0.2610 0.5000 In
0.2610 0.0000 0.5000 In
0.7390 0.7390 0.5000 In
0.0000 0.0000 0.0000 Au
0.3333 0.6667 0.5000 Au
0.6667 0.3333 0.5000 Au
```



Entry 2:
Starting from a DFT-relaxed cell (PBE, the Materials Project), the powder XRD pattern of NiAgSe2 was simulated for Cu Kα (λ = 1.5418 Å).
Lines closer than 0.1° are merged.

The 10 most intense peaks (10 to 90 degrees two-theta), sorted by position:
- (1 0 1), 28.63 deg, I 59
- (0 1 2), 29.61 deg, I 71
- (1 0 4), 33.24 deg, I 32
- (0 1 5), 35.75 deg, I 25
- (1 0 7), 41.81 deg, I 100
- (0 1 8), 45.25 deg, I 30
- (1 1 0), 50.10 deg, I 69
- (1 1 9), 65.29 deg, I 17
- (0 2 7), 67.25 deg, I 23
- (2 1 7), 88.39 deg, I 22

Crystal structure
```
NiAgSe2
1.0
3.6413 0.0000 0.0000
-1.8206 3.1535 0.0000
0.0000 0.0000 20.7610
Ni Ag Se
3 3 6
direct
0.0000 0.0000 0.0000 Ni
0.3333 0.6667 0.6667 Ni
0.6667 0.3333 0.3333 Ni
0.0000 0.0000 0.8482 Ag
0.3333 0.6667 0.5149 Ag
0.6667 0.3333 0.1815 Ag
0.0000 0.0000 0.2715 Se
0.0000 0.0000 0.7248 Se
0.3333 0.6667 0.3915 Se
0.3333 0.6667 0.9382 Se
0.6667 0.3333 0.0582 Se
0.6667 0.3333 0.6049 Se
```



Entry 3:
Starting from a DFT-relaxed cell (PBE, the Materials Project), the powder XRD pattern of TeMoWSeS2 was simulated for Cu Kα (λ = 1.5418 Å).
Lines closer than 0.1° are merged.

The 10 most intense peaks (10 to 90 degrees two-theta), sorted by position:
- (0 0 5), 11.25 deg, I 100
- (0 0 6), 13.51 deg, I 20
- (1 0 0), 31.20 deg, I 35
- (0 1 7), 35.12 deg, I 16
- (0 1 8), 36.25 deg, I 58
- (1 0 9), 37.50 deg, I 17
- (0 1 13), 43.47 deg, I 40
- (0 1 14), 45.17 deg, I 15
- (1 1 0), 55.48 deg, I 26
- (1 1 5), 56.79 deg, I 12

Crystal structure
```
TeMoWSeS2
1.0
3.3133 0.0000 0.0000
-1.6566 2.8694 0.0000
0.0000 0.0000 39.3283
Te Mo W Se S
2 2 2 2 4
direct
0.0000 0.0000 0.0000 Te
0.0000 0.0000 0.0978 Te
0.0000 0.0000 0.2359 Mo
0.6667 0.3333 0.6717 Mo
0.0000 0.0000 0.8583 W
0.6667 0.3333 0.0489 W
0.6667 0.3333 0.8155 Se
0.6667 0.3333 0.9011 Se
0.0000 0.0000 0.6329 S
0.0000 0.0000 0.7105 S
0.6667 0.3333 0.1971 S
0.6667 0.3333 0.2747 S
```



Entry 4:
Starting from a DFT-relaxed cell (PBE, the Materials Project), the powder XRD pattern of Sr4Zr3TiO12 was simulated for Cu Kα (λ = 1.5418 Å).
Lines closer than 0.1° are merged.

The 10 most intense peaks (10 to 90 degrees two-theta), sorted by position:
- (1 1 -2), 30.76 deg, I 100
- (1 -1 2), 30.82 deg, I 99
- (0 0 4), 44.10 deg, I 64
- (0 2 -4), 54.67 deg, I 39
- (3 1 2), 54.83 deg, I 44
- (2 2 -4), 64.15 deg, I 23
- (3 3 -2), 72.81 deg, I 13
- (1 1 -6), 72.90 deg, I 13
- (2 4 -4), 89.10 deg, I 6
- (-5 1 2), 89.36 deg, I 16

Crystal structure
```
Sr4Zr3TiO12
1.0
5.7964 0.0000 0.0000
-0.0018 5.8252 0.0000
-0.0036 0.0000 8.2069
Sr Zr Ti O
4 3 1 12
direct
0.0062 0.4732 0.2417 Sr
0.4928 0.9772 0.2419 Sr
0.5072 0.0228 0.7581 Sr
0.9938 0.5268 0.7583 Sr
0.0000 0.0000 0.5000 Zr
0.5000 0.5000 0.0000 Zr
0.5000 0.5000 0.5000 Zr
0.0000 0.0000 0.0000 Ti
0.0658 0.9873 0.7600 O
0.2116 0.7123 0.4597 O
0.2217 0.7366 0.0332 O
0.2626 0.2217 0.0336 O
0.2882 0.2115 0.4587 O
0.4264 0.4849 0.7511 O
0.5736 0.5151 0.2489 O
0.7118 0.7885 0.5413 O
0.7374 0.7783 0.9664 O
0.7783 0.2633 0.9668 O
0.7884 0.2877 0.5403 O
0.9342 0.0127 0.2400 O
```



Entry 5:
Starting from a DFT-relaxed cell (PBE, the Materials Project), the powder XRD pattern of Na3SnPCO7 was simulated for Cu Kα (λ = 1.5418 Å).
Lines closer than 0.1° are merged.

The 10 most intense peaks (10 to 90 degrees two-theta), sorted by position:
- (0 1 1), 15.53 deg, I 28
- (1 0 -1), 18.93 deg, I 29
- (1 1 0), 20.86 deg, I 32
- (0 2 0), 24.84 deg, I 100
- (1 0 2), 25.76 deg, I 36
- (1 2 -1), 31.39 deg, I 58
- (1 2 1), 31.79 deg, I 40
- (2 0 0), 33.87 deg, I 44
- (2 1 2), 41.69 deg, I 24
- (0 2 4), 46.10 deg, I 42

Crystal structure
```
Na3SnPCO7
1.0
5.2964 0.0000 0.0000
0.0000 7.1706 0.0000
-0.3392 0.0000 9.4247
Na Sn P C O
6 2 2 2 14
direct
0.2223 0.2500 0.4172 Na
0.2402 0.5043 0.7498 Na
0.2402 0.9957 0.7498 Na
0.7598 0.0043 0.2502 Na
0.7598 0.4957 0.2502 Na
0.7777 0.7500 0.5828 Na
0.2358 0.7500 0.1289 Sn
0.7642 0.2500 0.8711 Sn
0.2767 0.2500 0.1050 P
0.7233 0.7500 0.8950 P
0.2675 0.7500 0.4455 C
0.7325 0.2500 0.5545 C
0.0554 0.7500 0.3680 O
0.1701 0.0772 0.1841 O
0.1701 0.4228 0.1841 O
0.1909 0.2500 0.9426 O
0.2572 0.7500 0.5817 O
0.4317 0.7500 0.8832 O
0.4848 0.7500 0.3842 O
0.5152 0.2500 0.6158 O
0.5683 0.2500 0.1168 O
0.7428 0.2500 0.4183 O
0.8091 0.7500 0.0574 O
0.8299 0.5772 0.8159 O
0.8299 0.9228 0.8159 O
0.9446 0.2500 0.6320 O
```



Entry 6:
Starting from a DFT-relaxed cell (PBE, the Materials Project), the powder XRD pattern of MgTi2S4 was simulated for Cu Kα (λ = 1.5418 Å).
Lines closer than 0.1° are merged.

The 10 most intense peaks (10 to 90 degrees two-theta), sorted by position:
- (0 0 3), 14.82 deg, I 75
- (1 1 -1), 29.37 deg, I 44
- (1 1 -3), 32.05 deg, I 100
- (2 0 2), 32.29 deg, I 55
- (1 1 -4), 34.47 deg, I 54
- (1 1 -6), 40.89 deg, I 85
- (2 0 5), 41.30 deg, I 40
- (1 1 6), 43.69 deg, I 38
- (0 2 0), 51.73 deg, I 86
- (1 1 8), 52.10 deg, I 37

Crystal structure
```
MgTi2S4
1.0
6.1220 0.0000 0.0000
0.0000 3.5342 0.0000
-2.2706 0.0000 17.9326
Mg Ti S
2 4 8
direct
0.0000 0.0000 0.0000 Mg
0.5000 0.5000 0.0000 Mg
0.0666 0.0000 0.1789 Ti
0.4334 0.5000 0.8211 Ti
0.5666 0.5000 0.1789 Ti
0.9334 0.0000 0.8211 Ti
0.0741 0.5000 0.7506 S
0.1990 0.5000 0.0871 S
0.3010 0.0000 0.9129 S
0.4259 0.0000 0.2494 S
0.5741 0.0000 0.7506 S
0.6990 0.0000 0.0871 S
0.8010 0.5000 0.9129 S
0.9259 0.5000 0.2494 S
```